# TcHgMoO6
Calculated XRD peak list, λ = 1.5418 Å (Cu Kα). Input: a cell relaxed with GGA+U.

Main lines, by intensity (10° ≤ 2θ ≤ 80°):
two_theta, Rel. int.
24.84, 1000
24.94, 762
27.45, 720
32.78, 673
49.63, 304
40.82, 282
46.54, 246
56.65, 244
34.21, 211
47.16, 202

Structure:
```
9
Lattice="2.536 -4.876 0.000 2.536 4.876 0.000 -0.589 0.000 5.242" Properties=species:S:1:pos:R:3 pbc="T T T"
Tc 0.000 0.000 0.000
Hg 2.242 -1.488 2.621
Mo 2.536 1.817 0.000
O 1.044 1.449 1.085
O 0.853 0.338 4.158
O 0.758 -1.506 1.067
O 3.440 1.449 4.157
O 3.631 0.338 1.084
O 3.726 -1.506 4.175
```